Record 1
For Li2MgAu, a DFT-relaxed cell (GGA-PBE, OQMD) gives the theoretical powder XRD pattern in this record (Cu Kα, 1.54184 Å).
Lines closer than 0.1° are merged.

The 6 most intense peaks (5 to 70 degrees two-theta), by intensity:
2θ/deg	I/Imax	(hkl)
24.12	100	1 0 1
39.90	60	2 0 0
47.17	52	2 1 1
27.92	41	1 1 0
63.44	22	3 0 1
65.29	16	3 1 0

```
data_Li2MgAu
_cell_length_a 4.522
_cell_length_b 4.522
_cell_length_c 6.384
_cell_angle_alpha 90.00
_cell_angle_beta 90.00
_cell_angle_gamma 90.00
_symmetry_space_group_name_H-M 'P -4 m 2'
_symmetry_Int_Tables_number 115
loop_
_symmetry_equiv_pos_as_xyz
'x,y,z'
'y,-x,-z'
'-x,-y,z'
'-y,x,-z'
'-x,y,z'
'-y,-x,-z'
'x,-y,z'
'y,x,-z'
loop_
_atom_site_label
_atom_site_type_symbol
_atom_site_fract_x
_atom_site_fract_y
_atom_site_fract_z
_atom_site_occupancy
Li1 Li 0.000 0.000 0.000 1
Li2 Li 0.000 0.500 0.749 1
Li3 Li 0.500 0.500 0.500 1
Mg1 Mg 0.000 0.000 0.500 1
Mg2 Mg 0.500 0.500 0.000 1
Au1 Au 0.000 0.500 0.251 1
```



Record 2
For MgBeAl2Cu4, a DFT-relaxed cell (GGA-PBE, OQMD) gives the theoretical powder XRD pattern in this record (Cu Kα, 1.54184 Å).
Lines closer than 0.1° are merged.

The 6 most intense peaks (5 to 70 degrees two-theta), by intensity:
2θ/deg	I/Imax	(hkl)
43.48	100	2 0 4
43.63	47	2 2 0
30.47	36	2 0 0
30.26	21	0 0 4
63.41	13	4 0 0
54.02	12	2 2 4

```
data_MgBeAl2Cu4
_cell_length_a 5.867
_cell_length_b 5.867
_cell_length_c 11.816
_cell_angle_alpha 90.00
_cell_angle_beta 90.00
_cell_angle_gamma 90.00
_symmetry_space_group_name_H-M 'I 41/a m d'
_symmetry_Int_Tables_number 141
loop_
_symmetry_equiv_pos_as_xyz
'x,y,z'
'-x,-y,-z'
'-y+1/4,x+3/4,z+1/4'
'y+1/4,-x+3/4,-z+1/4'
'-x+1/2,-y,z+1/2'
'x+1/2,y,-z+1/2'
'y+1/4,-x+1/4,z+3/4'
'-y+1/4,x+1/4,-z+3/4'
'x,-y,-z'
'-x,y,z'
'-y+1/4,-x+1/4,-z+3/4'
'y+1/4,x+1/4,z+3/4'
'-x+1/2,y,-z+1/2'
'x+1/2,-y,z+1/2'
'y+1/4,x+3/4,-z+1/4'
'-y+1/4,-x+3/4,z+1/4'
'x+1/2,y+1/2,z+1/2'
'-x+1/2,-y+1/2,-z+1/2'
'-y+3/4,x+1/4,z+3/4'
'y+3/4,-x+1/4,-z+3/4'
'-x,-y+1/2,z'
'x,y+1/2,-z'
'y+3/4,-x+3/4,z+1/4'
'-y+3/4,x+3/4,-z+1/4'
'x+1/2,-y+1/2,-z+1/2'
'-x+1/2,y+1/2,z+1/2'
'-y+3/4,-x+3/4,-z+1/4'
'y+3/4,x+3/4,z+1/4'
'-x,y+1/2,-z'
'x,-y+1/2,z'
'y+3/4,x+1/4,-z+3/4'
'-y+3/4,-x+1/4,z+3/4'
loop_
_atom_site_label
_atom_site_type_symbol
_atom_site_fract_x
_atom_site_fract_y
_atom_site_fract_z
_atom_site_occupancy
Mg1 Mg 0.000 0.250 0.375 1
Be1 Be 0.000 0.250 0.875 1
Al1 Al 0.000 0.250 0.134 1
Cu1 Cu 0.220 0.000 0.000 1
```



Record 3
For NiSn6Pb, a DFT-relaxed cell (GGA-PBE, OQMD) gives the theoretical powder XRD pattern in this record (Cu Kα, 1.54184 Å).
Lines closer than 0.1° are merged.

The 6 most intense peaks (5 to 70 degrees two-theta), by intensity:
2θ/deg	I/Imax	(hkl)
34.61	100	2 0 1
26.24	36	2 0 0
46.30	20	2 2 0
25.80	16	1 0 1
64.11	14	3 2 1
66.71	14	2 2 2

```
data_NiSn6Pb
_cell_length_a 7.8442
_cell_length_b 7.8442
_cell_length_c 4.0105
_cell_angle_alpha 90.00
_cell_angle_beta 90.00
_cell_angle_gamma 120.00
_symmetry_space_group_name_H-M 'P -6 m 2'
_symmetry_Int_Tables_number 187
_symmetry_space_group_name_Hall 'P -6 2'
loop_
_atom_site_label
_atom_site_type_symbol
_atom_site_fract_x
_atom_site_fract_y
_atom_site_fract_z
_atom_site_occupancy
Ni1 Ni 0.0000 0.0000 0.0000 1
Sn1 Sn 0.2654 0.1327 0.5000 1
Sn2 Sn 0.5233 0.0465 0.0000 1
Pb1 Pb 0.3333 0.6667 0.5000 1
```



Record 4
For LaGd2Sn4Pb3, a DFT-relaxed cell (GGA-PBE, OQMD) gives the theoretical powder XRD pattern in this record (Cu Kα, 1.54184 Å).
Lines closer than 0.1° are merged.

The 6 most intense peaks (5 to 70 degrees two-theta), by intensity:
2θ/deg	I/Imax	(hkl)
32.17	100	1 5 1
35.00	17	0 10 0
38.32	17	0 0 2
38.52	16	2 0 0
65.44	13	1 5 3
65.72	13	3 5 1

```
data_LaGd2Sn4Pb3
_cell_length_a 4.674
_cell_length_b 25.636
_cell_length_c 4.698
_cell_angle_alpha 90.00
_cell_angle_beta 90.00
_cell_angle_gamma 90.00
_symmetry_space_group_name_H-M 'C m m m'
_symmetry_Int_Tables_number 65
_symmetry_space_group_name_Hall '-C 2 2'
loop_
_atom_site_label
_atom_site_type_symbol
_atom_site_fract_x
_atom_site_fract_y
_atom_site_fract_z
_atom_site_occupancy
La1 La 0.000 0.000 0.000 1
Gd1 Gd 0.000 0.185 0.000 1
Sn1 Sn 0.000 0.098 0.500 1
Sn2 Sn 0.000 0.402 0.000 1
Pb1 Pb 0.000 0.294 0.500 1
Pb2 Pb 0.000 0.500 0.500 1
```



Record 5
For Er2LuIn3Ni3, a DFT-relaxed cell (GGA-PBE, OQMD) gives the theoretical powder XRD pattern in this record (Cu Kα, 1.54184 Å).
Lines closer than 0.1° are merged.

The 6 most intense peaks (5 to 70 degrees two-theta), by intensity:
2θ/deg	I/Imax	(hkl)
34.02	100	1 3 1
36.89	71	1 4 0
37.16	51	0 1 3
57.41	24	1 5 3
68.62	24	1 1 5
42.36	23	0 6 0

```
data_Er2LuIn3Ni3
_cell_length_a 3.758
_cell_length_b 12.796
_cell_length_c 7.394
_cell_angle_alpha 90.00
_cell_angle_beta 90.00
_cell_angle_gamma 90.00
_symmetry_space_group_name_H-M 'A m m 2'
_symmetry_Int_Tables_number 38
loop_
_symmetry_equiv_pos_as_xyz
'x,y,z'
'-x,-y,z'
'-x,y,z'
'x,-y,z'
'x,y+1/2,z+1/2'
'-x,-y+1/2,z+1/2'
'-x,y+1/2,z+1/2'
'x,-y+1/2,z+1/2'
loop_
_atom_site_label
_atom_site_type_symbol
_atom_site_fract_x
_atom_site_fract_y
_atom_site_fract_z
_atom_site_occupancy
Er1 Er 0.000 0.205 0.000 1
Lu1 Lu 0.000 0.000 0.385 1
In1 In 0.500 0.000 0.052 1
In2 In 0.500 0.128 0.666 1
Ni1 Ni 0.000 0.000 0.794 1
Ni2 Ni 0.500 0.166 0.295 1
```



Record 6
For Sc3Al2GaGe2Ir, a DFT-relaxed cell (GGA-PBE, OQMD) gives the theoretical powder XRD pattern in this record (Cu Kα, 1.54184 Å).
Lines closer than 0.1° are merged.

The 6 most intense peaks (5 to 70 degrees two-theta), by intensity:
2θ/deg	I/Imax	(hkl)
26.68	100	0 3 1
38.00	81	1 2 2
47.09	59	0 6 0
15.27	56	0 2 0
46.89	40	0 3 3
44.42	26	2 0 0

```
data_Sc3Al2GaGe2Ir
_cell_length_a 4.079
_cell_length_b 11.570
_cell_length_c 6.727
_cell_angle_alpha 90.00
_cell_angle_beta 90.00
_cell_angle_gamma 90.00
_symmetry_space_group_name_H-M 'A m m 2'
_symmetry_Int_Tables_number 38
loop_
_symmetry_equiv_pos_as_xyz
'x,y,z'
'-x,-y,z'
'-x,y,z'
'x,-y,z'
'x,y+1/2,z+1/2'
'-x,-y+1/2,z+1/2'
'-x,y+1/2,z+1/2'
'x,-y+1/2,z+1/2'
loop_
_atom_site_label
_atom_site_type_symbol
_atom_site_fract_x
_atom_site_fract_y
_atom_site_fract_z
_atom_site_occupancy
Sc1 Sc 0.000 0.000 0.000 1
Sc2 Sc 0.000 0.206 0.379 1
Al1 Al 0.500 0.118 0.705 1
Ga1 Ga 0.500 0.000 0.345 1
Ge1 Ge 0.500 0.168 0.085 1
Ir1 Ir 0.000 0.000 0.592 1
```



Record 7
For Li3Cu, a DFT-relaxed cell (GGA-PBE, OQMD) gives the theoretical powder XRD pattern in this record (Cu Kα, 1.54184 Å).
Lines closer than 0.1° are merged.

The 6 most intense peaks (5 to 70 degrees two-theta), by intensity:
2θ/deg	I/Imax	(hkl)
7.53	100	0 0 1
21.51	81	1 0 1
15.09	32	0 0 2
25.25	29	1 0 -2
42.04	26	1 1 4
40.91	23	2 0 0

```
data_Li3Cu
_cell_length_a 4.413
_cell_length_b 4.493
_cell_length_c 11.740
_cell_angle_alpha 89.81
_cell_angle_beta 89.99
_cell_angle_gamma 89.93
_symmetry_space_group_name_H-M 'P -1'
_symmetry_Int_Tables_number 2
loop_
_symmetry_equiv_pos_as_xyz
'x,y,z'
'-x,-y,-z'
loop_
_atom_site_label
_atom_site_type_symbol
_atom_site_fract_x
_atom_site_fract_y
_atom_site_fract_z
_atom_site_occupancy
Li1 Li 0.249 0.217 0.152 1
Li2 Li 0.250 0.683 0.489 1
Li3 Li 0.250 0.713 0.015 1
Li4 Li 0.251 0.150 0.610 1
Li5 Li 0.251 0.188 0.853 1
Li6 Li 0.251 0.652 0.727 1
Cu1 Cu 0.249 0.200 0.372 1
Cu2 Cu 0.249 0.708 0.271 1
```



Record 8
For Sc3NiS6, a DFT-relaxed cell (GGA-PBE, OQMD) gives the theoretical powder XRD pattern in this record (Cu Kα, 1.54184 Å).
Lines closer than 0.1° are merged.

The 6 most intense peaks (5 to 70 degrees two-theta), by intensity:
2θ/deg	I/Imax	(hkl)
43.16	100	2 -1 4
32.49	96	1 1 2
49.87	56	3 0 0
18.01	47	1 0 1
68.04	22	2 2 4
28.18	22	1 1 0

```
data_Sc3NiS6
_cell_length_a 6.3341
_cell_length_b 6.3341
_cell_length_c 11.1819
_cell_angle_alpha 90.00
_cell_angle_beta 90.00
_cell_angle_gamma 120.00
_symmetry_space_group_name_H-M 'P -3 1 c'
_symmetry_Int_Tables_number 163
_symmetry_space_group_name_Hall '-P 3 2c'
loop_
_atom_site_label
_atom_site_type_symbol
_atom_site_fract_x
_atom_site_fract_y
_atom_site_fract_z
_atom_site_occupancy
Sc1 Sc 0.0000 0.0000 0.0000 1
Sc2 Sc 0.3333 0.6667 0.0187 1
Ni1 Ni 0.3333 0.6667 0.7500 1
S1 S 0.0284 0.3499 0.8708 1
```



Record 9
For Cs2Tc2O5, a DFT-relaxed cell (GGA-PBE, OQMD) gives the theoretical powder XRD pattern in this record (Cu Kα, 1.54184 Å).
Lines closer than 0.1° are merged.

The 6 most intense peaks (5 to 70 degrees two-theta), by intensity:
2θ/deg	I/Imax	(hkl)
26.20	100	1 1 1
33.77	77	3 1 -1
26.69	49	2 0 -2
29.49	47	1 1 -2
32.13	38	0 2 0
42.25	27	2 2 -2

```
data_Cs2Tc2O5
_cell_length_a 9.056
_cell_length_b 5.571
_cell_length_c 7.220
_cell_angle_alpha 90.00
_cell_angle_beta 115.20
_cell_angle_gamma 90.00
_symmetry_space_group_name_H-M 'C 1 m 1'
_symmetry_Int_Tables_number 8
loop_
_symmetry_equiv_pos_as_xyz
'x,y,z'
'x,-y,z'
'x+1/2,y+1/2,z'
'x+1/2,-y+1/2,z'
loop_
_atom_site_label
_atom_site_type_symbol
_atom_site_fract_x
_atom_site_fract_y
_atom_site_fract_z
_atom_site_occupancy
Cs1 Cs 0.000 0.000 0.000 1
Cs2 Cs 0.247 0.500 0.260 1
Tc1 Tc 0.038 0.500 0.625 1
Tc2 Tc 0.205 0.000 0.628 1
O1 O 0.063 0.250 0.450 1
O2 O 0.182 0.251 0.810 1
O3 O 0.307 0.000 0.439 1
```



Please write out number 8 again, unchanged.
For Sc3NiS6, a DFT-relaxed cell (GGA-PBE, OQMD) gives the theoretical powder XRD pattern in this record (Cu Kα, 1.54184 Å).
Lines closer than 0.1° are merged.

The 6 most intense peaks (5 to 70 degrees two-theta), by intensity:
2θ/deg	I/Imax	(hkl)
43.16	100	2 -1 4
32.49	96	1 1 2
49.87	56	3 0 0
18.01	47	1 0 1
68.04	22	2 2 4
28.18	22	1 1 0

```
data_Sc3NiS6
_cell_length_a 6.3341
_cell_length_b 6.3341
_cell_length_c 11.1819
_cell_angle_alpha 90.00
_cell_angle_beta 90.00
_cell_angle_gamma 120.00
_symmetry_space_group_name_H-M 'P -3 1 c'
_symmetry_Int_Tables_number 163
_symmetry_space_group_name_Hall '-P 3 2c'
loop_
_atom_site_label
_atom_site_type_symbol
_atom_site_fract_x
_atom_site_fract_y
_atom_site_fract_z
_atom_site_occupancy
Sc1 Sc 0.0000 0.0000 0.0000 1
Sc2 Sc 0.3333 0.6667 0.0187 1
Ni1 Ni 0.3333 0.6667 0.7500 1
S1 S 0.0284 0.3499 0.8708 1
```



Which formula does entry 9 have?
Cs2Tc2O5